(1)
Simulated powder diffraction line list
Compound: Li5Mn7O12
Radiation: Cu Kα (weighted mean of Kα1 and Kα2)
Structure: a structure optimized by DFT (GGA+U)
Lines closer than 0.1° are merged.

Cell and atoms:
```
24
Lattice="2.6124 -4.5491 0.0000 2.6124 4.5491 0.0000 -1.7628 0.0000 9.8163" Properties=species:S:1:pos:R:3 pbc="T T T"
Li 0.0000 0.0000 0.0000
Li -0.0368 0.0396 7.3917
Li 0.8436 -1.5688 2.4068
Li 3.4989 0.0396 2.4245
Li 2.6184 -1.5688 7.4095
Mn 0.8482 1.4732 2.3969
Mn 1.7310 3.0639 4.9081
Mn 2.6124 1.5118 0.0000
Mn 1.7310 -0.0542 4.9081
Mn 2.6138 1.4732 7.4194
Mn 2.6124 -1.4751 0.0000
Mn 1.7310 -3.0432 4.9081
O 1.7683 2.8382 1.1714
O 0.0234 0.0431 3.6259
O 0.7889 1.4963 6.0620
O 1.6937 2.8382 8.6449
O 1.8244 0.0874 1.1324
O 2.6731 1.4963 3.7543
O 0.7966 -1.5683 6.1358
O 1.6376 0.0874 8.6839
O 1.7243 -2.9744 1.1640
O 2.6654 -1.5683 3.6805
O 3.4386 0.0431 6.1904
O 1.7377 -2.9744 8.6523
```

Principal peaks in the range 10° ≤ 2θ ≤ 90°, low angle first:
| d/Å | Rel. int. |
| --- | --- |
| 4.908 | 36 |
| 4.549 | 22 |
| 4.333 | 13 |
| 3.855 | 32 |
| 2.468 | 35 |
| 2.137 | 100 |
| 2.128 | 50 |
| 1.516 | 14 |
| 1.510 | 28 |
| 1.506 | 41 |

=====

(2)
Simulated powder diffraction line list
Compound: LiMn5O10
Radiation: Cu Kα (weighted mean of Kα1 and Kα2)
Structure: a structure optimized by DFT (GGA+U)
Lines closer than 0.1° are merged.

Cell and atoms:
```
32
Lattice="5.0258 0.0000 0.0000 2.3864 7.2939 0.0000 1.4189 2.4116 9.7770" Properties=species:S:1:pos:R:3 pbc="T T T"
Li 2.4186 3.9597 2.4648
Li 6.4126 5.7458 7.3122
Mn 1.2065 0.8016 0.0394
Mn 1.9330 1.9968 4.9359
Mn 4.2926 6.2216 4.9157
Mn 3.6342 5.0273 0.0076
Mn 5.2417 7.8750 2.4490
Mn 3.5894 1.8305 7.3280
Mn 5.1969 4.6782 9.7694
Mn 4.5386 3.4839 4.8614
Mn 6.8981 7.7087 4.8411
Mn 7.6247 8.9039 9.7376
O 2.6947 6.4258 5.8652
O 2.0368 5.1904 0.9430
O 3.5495 7.7843 3.8769
O 4.2739 9.0167 8.7534
O 2.1893 1.9340 1.2029
O 2.9314 3.1366 6.0569
O 3.7659 4.8184 3.8399
O 4.6023 6.0463 8.6655
O 4.5737 6.6086 1.0534
O 5.2947 7.8010 5.9681
O 3.5365 1.9045 3.8089
O 4.2574 3.0969 8.7236
O 4.2289 3.6592 1.1115
O 5.0652 4.8871 5.9371
O 5.8997 6.5689 3.7201
O 6.6418 7.7715 8.5741
O 4.5572 0.6888 1.0236
O 5.2816 1.9212 5.9001
O 6.7944 4.5151 8.8340
O 6.1365 3.2797 3.9118
```

Principal peaks in the range 10° ≤ 2θ ≤ 90°, low angle first:
| d/Å | Rel. int. |
| --- | --- |
| 7.082 | 70 |
| 4.889 | 100 |
| 4.768 | 33 |
| 3.787 | 25 |
| 3.337 | 23 |
| 2.443 | 18 |
| 2.122 | 45 |
| 2.094 | 46 |
| 2.015 | 40 |
| 1.465 | 22 |

=====

(3)
Simulated powder diffraction line list
Compound: Li4Mn3O7
Radiation: Cu Kα (weighted mean of Kα1 and Kα2)
Structure: a structure optimized by DFT (GGA+U)
Lines closer than 0.1° are merged.

Cell and atoms:
```
28
Lattice="17.3062 -1.4413 0.0000 17.3062 1.4413 0.0000 -0.6217 0.0000 5.2365" Properties=species:S:1:pos:R:3 pbc="T T T"
Li 0.0000 0.0000 0.0000
Li 2.1716 0.0000 1.8372
Li 7.3669 0.0000 0.3708
Li 11.8833 0.0000 4.1126
Li 16.9953 0.0000 2.6182
Li 22.1073 0.0000 1.1239
Li 26.6237 0.0000 4.8656
Li 31.8190 0.0000 3.3993
Mn 4.4388 0.0000 3.7900
Mn 9.6443 0.0000 2.2414
Mn 14.8784 0.0000 0.6514
Mn 19.1122 0.0000 4.5851
Mn 24.3463 0.0000 2.9950
Mn 29.5518 0.0000 1.4465
O 0.9218 0.0000 3.6248
O 3.5292 0.0000 0.1371
O 6.0300 0.0000 2.1058
O 8.0527 0.0000 3.8807
O 11.1984 0.0000 0.5945
O 13.3119 0.0000 2.2390
O 15.4011 0.0000 4.4841
O 18.5895 0.0000 0.7523
O 20.6787 0.0000 2.9975
O 22.7922 0.0000 4.6420
O 25.9379 0.0000 1.3558
O 27.9606 0.0000 3.1307
O 30.4614 0.0000 5.0993
O 33.0688 0.0000 1.6117
```

Principal peaks in the range 10° ≤ 2θ ≤ 90°, low angle first:
| d/Å | Rel. int. |
| --- | --- |
| 4.852 | 100 |
| 2.648 | 17 |
| 2.486 | 23 |
| 2.212 | 34 |
| 2.053 | 57 |
| 1.939 | 9 |
| 1.586 | 9 |
| 1.512 | 16 |
| 1.498 | 16 |
| 1.463 | 11 |

=====

(4)
Simulated powder diffraction line list
Compound: LiMnO7
Radiation: Cu Kα (weighted mean of Kα1 and Kα2)
Structure: a structure optimized by DFT (GGA+U)
Lines closer than 0.1° are merged.

Cell and atoms:
```
18
Lattice="7.6145 0.0000 0.0000 -3.8073 6.5944 0.0000 0.0000 0.0000 5.4707" Properties=species:S:1:pos:R:3 pbc="T T T"
Li 0.0000 0.0000 0.0000
Li 0.0000 0.0000 2.7353
Mn 0.0000 4.3962 1.4626
Mn 3.8073 2.1981 4.1979
O -1.3227 3.6326 0.9257
O 0.0000 1.3777 4.1056
O -2.6141 5.9055 4.1056
O 1.1932 0.6889 1.3702
O 0.0000 4.3962 3.0797
O 1.3227 3.6326 0.9257
O 0.0000 5.9236 0.9257
O 3.8073 0.6708 3.6610
O 2.4845 2.9618 3.6610
O 3.8073 2.1981 0.3444
O 2.6141 5.9055 4.1056
O 6.4214 0.6889 1.3702
O 3.8073 5.2166 1.3702
O 5.1300 2.9618 3.6610
```

Principal peaks in the range 10° ≤ 2θ ≤ 90°, low angle first:
| d/Å | Rel. int. |
| --- | --- |
| 6.594 | 14 |
| 4.210 | 100 |
| 3.807 | 75 |
| 2.824 | 55 |
| 2.735 | 24 |
| 2.492 | 26 |
| 2.268 | 11 |
| 1.842 | 13 |
| 1.735 | 26 |
| 1.596 | 10 |

=====

(5)
Simulated powder diffraction line list
Compound: LiMn3O6
Radiation: Cu Kα (weighted mean of Kα1 and Kα2)
Structure: a structure optimized by DFT (GGA+U)
Lines closer than 0.1° are merged.

Cell and atoms:
```
10
Lattice="2.6195 -4.3440 0.0000 2.6195 4.3440 0.0000 -1.8221 0.0000 4.9913" Properties=species:S:1:pos:R:3 pbc="T T T"
Li 0.0000 0.0000 0.0000
Mn 1.7085 2.9015 2.4957
Mn 1.7085 0.0000 2.4957
Mn 1.7085 -2.9015 2.4957
O 0.7893 1.4282 1.5354
O -0.2742 0.0000 3.5812
O 0.7893 -1.4282 1.5354
O 2.6277 1.4282 3.4560
O 3.6911 0.0000 1.4101
O 2.6277 -1.4282 3.4560
```

Principal peaks in the range 10° ≤ 2θ ≤ 90°, low angle first:
| d/Å | Rel. int. |
| --- | --- |
| 4.991 | 100 |
| 2.587 | 12 |
| 2.496 | 22 |
| 2.162 | 18 |
| 2.092 | 32 |
| 1.942 | 6 |
| 1.629 | 10 |
| 1.511 | 12 |
| 1.495 | 9 |
| 1.203 | 7 |

=====

(6)
Simulated powder diffraction line list
Compound: LiMn3O4
Radiation: Cu Kα (weighted mean of Kα1 and Kα2)
Structure: a structure optimized by DFT (GGA+U)
Lines closer than 0.1° are merged.

Cell and atoms:
```
16
Lattice="5.2609 0.0000 0.0000 1.6311 5.9013 0.0000 1.4809 2.6831 5.4257" Properties=species:S:1:pos:R:3 pbc="T T T"
Li 0.8361 2.0543 1.4167
Li 7.5369 6.5300 4.0090
Mn 1.6297 5.0863 1.3744
Mn 2.6305 0.0000 0.0000
Mn 3.3709 1.3415 2.7128
Mn 3.4460 2.9506 0.0000
Mn 4.1865 4.2922 2.7128
Mn 6.7433 3.4980 4.0512
O 2.4490 3.1280 2.0841
O 4.1105 7.5832 4.8296
O 3.3748 6.2214 2.1131
O 3.2953 4.3712 4.8015
O 5.0776 4.2131 0.6242
O 4.9982 2.3629 3.3126
O 4.2625 1.0011 0.5961
O 5.9240 5.4564 3.3415
```

Principal peaks in the range 10° ≤ 2θ ≤ 90°, low angle first:
| d/Å | Rel. int. |
| --- | --- |
| 5.076 | 43 |
| 5.028 | 46 |
| 2.537 | 59 |
| 2.529 | 29 |
| 2.514 | 28 |
| 2.267 | 100 |
| 2.185 | 86 |
| 2.125 | 79 |
| 1.576 | 26 |
| 1.570 | 26 |

=====

(7)
Simulated powder diffraction line list
Compound: LiMn3O6
Radiation: Cu Kα (weighted mean of Kα1 and Kα2)
Structure: a structure optimized by DFT (GGA+U)
Lines closer than 0.1° are merged.

Cell and atoms:
```
40
Lattice="5.9270 0.0000 0.0000 -0.1716 5.9505 0.0000 -2.7639 -3.0242 12.4832" Properties=species:S:1:pos:R:3 pbc="T T T"
Li 0.0000 0.0000 0.0000
Li 0.0138 2.9083 2.1725
Li 0.1825 -0.0637 8.4066
Li 3.0651 -0.0072 6.3097
Mn -1.4562 2.9429 7.3471
Mn -1.2902 -0.1074 11.4590
Mn 0.0257 4.4255 5.2744
Mn 0.1093 1.4497 5.3203
Mn 1.5397 0.0221 3.1422
Mn 2.9567 1.4639 1.0621
Mn 2.8778 4.4655 1.0367
Mn 1.5182 2.9760 7.3496
Mn 1.6570 -0.1217 11.5131
Mn 3.1142 -1.5323 9.3776
Mn 3.0166 1.4625 9.4221
Mn 4.4835 0.0006 3.1983
O -1.1045 -0.0645 5.3402
O -1.1926 2.9094 5.4109
O -1.7110 2.9709 9.2696
O -1.4297 -0.1645 9.5500
O 0.0402 1.2970 3.3579
O -0.0448 4.6119 3.3142
O 1.5490 0.1371 1.2324
O 0.2671 -1.6498 7.1981
O 0.1799 1.5814 7.2366
O 1.6333 2.9363 0.9519
O 1.4527 -0.0038 5.1135
O 1.3308 2.9618 5.3784
O 0.1687 -1.3837 11.6052
O 0.1872 1.1354 11.5573
O 2.8290 4.7166 3.0123
O 2.9644 1.3172 2.9886
O 1.5928 3.0956 9.2394
O 1.8075 -0.0656 9.5575
O 4.2333 0.0309 1.0130
O 4.3400 2.8005 0.9334
O 2.9152 1.6416 7.4244
O 3.0489 -1.6006 7.4600
O 3.1458 -1.4051 11.3465
O 3.1306 1.1807 11.4370
```

Principal peaks in the range 10° ≤ 2θ ≤ 90°, low angle first:
| d/Å | Rel. int. |
| --- | --- |
| 4.843 | 100 |
| 4.806 | 33 |
| 2.563 | 9 |
| 2.520 | 10 |
| 2.507 | 17 |
| 2.424 | 7 |
| 2.130 | 24 |
| 2.081 | 22 |
| 2.070 | 22 |
| 1.481 | 13 |

=====

Copy entry 4 word for word.
Simulated powder diffraction line list
Compound: LiMnO7
Radiation: Cu Kα (weighted mean of Kα1 and Kα2)
Structure: a structure optimized by DFT (GGA+U)
Lines closer than 0.1° are merged.

Cell and atoms:
```
18
Lattice="7.6145 0.0000 0.0000 -3.8073 6.5944 0.0000 0.0000 0.0000 5.4707" Properties=species:S:1:pos:R:3 pbc="T T T"
Li 0.0000 0.0000 0.0000
Li 0.0000 0.0000 2.7353
Mn 0.0000 4.3962 1.4626
Mn 3.8073 2.1981 4.1979
O -1.3227 3.6326 0.9257
O 0.0000 1.3777 4.1056
O -2.6141 5.9055 4.1056
O 1.1932 0.6889 1.3702
O 0.0000 4.3962 3.0797
O 1.3227 3.6326 0.9257
O 0.0000 5.9236 0.9257
O 3.8073 0.6708 3.6610
O 2.4845 2.9618 3.6610
O 3.8073 2.1981 0.3444
O 2.6141 5.9055 4.1056
O 6.4214 0.6889 1.3702
O 3.8073 5.2166 1.3702
O 5.1300 2.9618 3.6610
```

Principal peaks in the range 10° ≤ 2θ ≤ 90°, low angle first:
| d/Å | Rel. int. |
| --- | --- |
| 6.594 | 14 |
| 4.210 | 100 |
| 3.807 | 75 |
| 2.824 | 55 |
| 2.735 | 24 |
| 2.492 | 26 |
| 2.268 | 11 |
| 1.842 | 13 |
| 1.735 | 26 |
| 1.596 | 10 |